This entry pairs a crystal structure of Ba3SrLu2Bi2O12 with its theoretical powder diffractogram. Radiation: copper Kα. Structure: a crystal structure in the Materials Project, relaxed with PBE.
Lines closer than 0.1° are merged.

Structure:
```
Ba3SrLu2Bi2O12
1.0
6.0666 0.0000 0.0000
0.0000 6.0666 0.0000
0.0000 0.0000 8.5762
Ba Sr Lu Bi O
3 1 2 2 12
Cartesian
0.0000 0.0000 0.0000
0.0000 0.0000 4.2881
3.0333 3.0333 0.0000
3.0333 3.0333 4.2881
0.0000 3.0333 2.1519
3.0333 0.0000 6.4243
0.0000 3.0333 6.4273
3.0333 0.0000 2.1489
0.0000 3.0333 4.3155
0.0000 3.0333 8.5483
1.5046 1.5439 6.4204
1.5046 4.5227 6.4204
1.5439 1.5046 2.1558
1.5439 4.5621 2.1558
3.0333 0.0000 0.0279
3.0333 0.0000 4.2606
4.5227 1.5046 2.1558
4.5227 4.5621 2.1558
4.5621 1.5439 6.4204
4.5621 4.5227 6.4204
```

Principal peaks in the range 2θ = 10–90°, in order of rising 2θ:
h k l  2theta  I_rel
1 0 1  17.9  1
1 1 0  20.7  10
2 0 0  29.5  100
2 2 0  42.1  28
3 1 0  47.4  5
3 1 2  52.2  42
4 0 0  61.1  18
3 3 0  65.3  2
4 2 0  69.3  18
4 0 4  77.0  6
5 1 0  80.8  1
5 1 2  84.5  22